For Tm2Si2Pd5, a structure optimized by DFT (GGA-PBE) gives the calculated X-ray diffraction stick pattern in this record (Cu Kα X-rays).
No peak broadening, texture or thermal motion is included.

a b c (Å): 4.1385 4.1385 8.9562
angles (deg): 90.00 90.00 90.00
Space group P4/mmm (No. 123)
Asymmetric unit:
Tm (0.0000, 0.0000, 0.0000) x1
Tm (0.0000, 0.0000, 0.5000) x1
Si (0.5000, 0.5000, 0.1298) x2
Pd (0.0000, 0.5000, 0.2687) x4
Pd (0.5000, 0.5000, 0.5000) x1

The 10 most intense peaks (2θ from 10° to 90°), in order of rising 2θ:
29.39 deg, intensity 13, hkl 1 0 2
36.69 deg, intensity 100, hkl 1 1 2
40.28 deg, intensity 16, hkl 0 0 4
43.29 deg, intensity 8, hkl 1 1 3
43.75 deg, intensity 36, hkl 2 0 0
60.97 deg, intensity 18, hkl 2 0 4
63.59 deg, intensity 12, hkl 2 2 0
70.87 deg, intensity 12, hkl 1 1 6
75.72 deg, intensity 24, hkl 3 1 2
78.01 deg, intensity 9, hkl 2 2 4

=====

For Pm2Si3NiIr4, a structure optimized by DFT (GGA-PBE) gives the calculated X-ray diffraction stick pattern in this record (Cu Kα X-rays).
No peak broadening, texture or thermal motion is included.

a b c (Å): 4.1364 4.1364 10.0411
angles (deg): 90.00 90.00 90.00
Space group P-4m2 (No. 115)
Asymmetric unit:
Pm (0.0000, 0.5000, 0.2454) x2
Si (0.0000, 0.0000, 0.0000) x1
Si (0.0000, 0.5000, 0.6286) x2
Ni (0.5000, 0.5000, 0.0000) x1
Ir (0.0000, 0.0000, 0.5000) x1
Ir (0.0000, 0.5000, 0.8675) x2
Ir (0.5000, 0.5000, 0.5000) x1

The 10 most intense peaks (2θ from 10° to 90°), in order of rising 2θ:
26.63 deg, intensity 26, hkl 0 0 3
27.95 deg, intensity 26, hkl 1 0 2
31.87 deg, intensity 53, hkl 1 1 1
34.47 deg, intensity 52, hkl 1 0 3
35.52 deg, intensity 100, hkl 1 1 2
43.77 deg, intensity 62, hkl 2 0 0
47.75 deg, intensity 25, hkl 1 1 4
50.52 deg, intensity 25, hkl 1 0 5
56.87 deg, intensity 25, hkl 2 1 3
75.04 deg, intensity 23, hkl 3 1 2

=====

For Na4Np3AlTe8, a structure optimized by DFT (GGA-PBE) gives the calculated X-ray diffraction stick pattern in this record (Cu Kα X-rays).
No peak broadening, texture or thermal motion is included.

a b c (Å): 15.4531 8.8958 9.0341
angles (deg): 90.00 124.87 90.00
Space group C2/m (No. 12)
Asymmetric unit:
Na (0.0000, 0.0000, 0.0000) x2
Na (0.0000, 0.5000, 0.0000) x2
Na (0.2500, 0.2500, 0.0000) x4
Np (0.0000, 0.0000, 0.5000) x2
Np (0.2500, 0.2500, 0.5000) x4
Al (0.0000, 0.5000, 0.5000) x2
Te (0.0047, 0.2635, 0.2776) x8
Te (0.2316, 0.5000, 0.7220) x4
Te (0.2451, 0.0000, 0.7358) x4

The 10 most intense peaks (2θ from 10° to 90°), in order of rising 2θ:
11.94 deg, intensity 44, hkl 0 0 1
23.40 deg, intensity 16, hkl 2 2 -1
28.16 deg, intensity 100, hkl 4 0 0
36.65 deg, intensity 15, hkl 4 0 1
39.98 deg, intensity 36, hkl 2 2 2
40.50 deg, intensity 38, hkl 0 4 0
50.11 deg, intensity 13, hkl 4 4 0
58.22 deg, intensity 12, hkl 4 4 -4
65.57 deg, intensity 10, hkl 0 4 4
66.23 deg, intensity 11, hkl 8 4 -4

=====

For K5LaO4, a structure optimized by DFT (GGA-PBE) gives the calculated X-ray diffraction stick pattern in this record (Cu Kα X-rays).
No peak broadening, texture or thermal motion is included.

a b c (Å): 16.6118 3.8838 7.4233
angles (deg): 90.00 107.72 90.00
Space group C2/m (No. 12)
Asymmetric unit:
K (0.0000, 0.0000, 0.0000) x2
K (0.1599, 0.5000, 0.8456) x4
K (0.1691, 0.5000, 0.3937) x4
La (0.0000, 0.0000, 0.5000) x2
O (0.0027, 0.5000, 0.2811) x4
O (0.1570, 0.0000, 0.6235) x4

The 10 most intense peaks (2θ from 10° to 90°), in order of rising 2θ:
11.18 deg, intensity 67, hkl 2 0 0
12.52 deg, intensity 79, hkl 0 0 1
14.03 deg, intensity 39, hkl 2 0 -1
28.27 deg, intensity 37, hkl 4 0 -2
28.54 deg, intensity 80, hkl 3 1 0
30.68 deg, intensity 29, hkl 2 0 2
33.46 deg, intensity 100, hkl 1 1 -2
33.99 deg, intensity 54, hkl 6 0 0
46.84 deg, intensity 34, hkl 7 1 -2
50.00 deg, intensity 28, hkl 5 1 2

=====

For Nd8ZnP3I4, a structure optimized by DFT (GGA-PBE) gives the calculated X-ray diffraction stick pattern in this record (Cu Kα X-rays).
No peak broadening, texture or thermal motion is included.

a b c (Å): 8.4892 8.4892 23.1676
angles (deg): 90.00 90.00 120.00
Space group R-3m (No. 166, hexagonal axes)
Asymmetric unit:
Nd (0.0000, 0.0000, 0.2296) x6
Nd (0.0048, 0.5024, 0.7682) x18
Zn (0.0000, 0.0000, 0.5000) x3
P (0.0000, 0.5000, 0.5000) x9
I (0.0000, 0.0000, 0.0000) x3
I (0.0000, 0.5000, 0.0000) x9

The 10 most intense peaks (2θ from 10° to 90°), in order of rising 2θ:
24.52 deg, intensity 11, hkl 0 2 1
28.77 deg, intensity 100, hkl 0 2 4
31.06 deg, intensity 27, hkl 2 0 5
34.85 deg, intensity 13, hkl 0 0 9
39.62 deg, intensity 26, hkl 2 0 8
42.60 deg, intensity 39, hkl 2 2 0
52.21 deg, intensity 19, hkl 4 0 4
56.17 deg, intensity 19, hkl 2 2 9
57.47 deg, intensity 11, hkl 0 2 13
69.59 deg, intensity 16, hkl 2 4 4

=====

For KNb2PSe10, a structure optimized by DFT (GGA-PBE) gives the calculated X-ray diffraction stick pattern in this record (Cu Kα X-rays).
No peak broadening, texture or thermal motion is included.

a b c (Å): 7.7716 16.3231 13.6818
angles (deg): 90.00 107.71 90.00
Space group Pc (No. 7)
Asymmetric unit:
K (0.0000, 0.2433, 0.0000) x2
K (0.9173, 0.2546, 0.4191) x2
Nb (0.3534, 0.4563, 0.7100) x2
Nb (0.3576, 0.4888, 0.4179) x2
Nb (0.4160, 0.0162, 0.1970) x2
Nb (0.4177, 0.0429, 0.9046) x2
P (0.4868, 0.3024, 0.5599) x2
P (0.5574, 0.1993, 0.1001) x2
Se (0.0843, 0.4637, 0.2517) x2
Se (0.1083, 0.4751, 0.5197) x2
Se (0.1245, 0.4006, 0.8057) x2
Se (0.1513, 0.0414, 0.2755) x2
Se (0.1686, 0.0333, 0.0100) x2
Se (0.1820, 0.0938, 0.7293) x2
Se (0.3073, 0.2940, 0.6607) x2
Se (0.3122, 0.4158, 0.0745) x2
Se (0.3249, 0.3209, 0.3957) x2
Se (0.3682, 0.0816, 0.5283) x2
Se (0.3790, 0.1838, 0.1994) x2
Se (0.4062, 0.2103, 0.9319) x2
Se (0.6015, 0.4070, 0.8874) x2
Se (0.6016, 0.4296, 0.6017) x2
Se (0.6170, 0.4575, 0.3335) x2
Se (0.6656, 0.0705, 0.0986) x2
Se (0.6704, 0.0833, 0.8099) x2
Se (0.6713, 0.0502, 0.3737) x2
Se (0.6832, 0.2037, 0.5837) x2
Se (0.7505, 0.2977, 0.1562) x2

The 10 most intense peaks (2θ from 10° to 90°), in order of rising 2θ:
10.84 deg, intensity 77, hkl 0 2 0
11.95 deg, intensity 100, hkl 1 0 0
16.16 deg, intensity 19, hkl 1 2 0
17.41 deg, intensity 12, hkl 0 2 2
28.67 deg, intensity 16, hkl 2 2 -3
28.95 deg, intensity 19, hkl 1 2 3
30.54 deg, intensity 20, hkl 2 0 -4
33.24 deg, intensity 25, hkl 1 0 4
35.08 deg, intensity 17, hkl 1 2 4
49.56 deg, intensity 13, hkl 4 1 0

=====

For Li6Ag2HN, a structure optimized by DFT (GGA-PBE) gives the calculated X-ray diffraction stick pattern in this record (Cu Kα X-rays).
No peak broadening, texture or thermal motion is included.

a b c (Å): 8.1428 8.1380 5.7850
angles (deg): 90.00 134.66 90.00
Space group C2/m (No. 12)
Asymmetric unit:
Li (0.0000, 0.2406, 0.0000) x4
Li (0.2393, 0.0000, 0.4762) x4
Li (0.2404, 0.0000, 0.9997) x4
Ag (0.0000, 0.2498, 0.5000) x4
H (0.0000, 0.5000, 0.0000) x2
N (0.0000, 0.0000, 0.0000) x2

The 10 most intense peaks (2θ from 10° to 90°), in order of rising 2θ:
21.60 deg, intensity 45, hkl 0 0 1
21.84 deg, intensity 87, hkl 0 2 0
30.90 deg, intensity 100, hkl 2 0 0
31.07 deg, intensity 49, hkl 2 2 -1
38.16 deg, intensity 61, hkl 2 2 0
44.52 deg, intensity 24, hkl 0 4 0
49.65 deg, intensity 19, hkl 2 0 1
50.00 deg, intensity 19, hkl 0 4 1
50.11 deg, intensity 19, hkl 4 2 -2
55.18 deg, intensity 35, hkl 2 4 0

=====

For CeDy2HoEr, a structure optimized by DFT (GGA-PBE) gives the calculated X-ray diffraction stick pattern in this record (Cu Kα X-rays).
No peak broadening, texture or thermal motion is included.

a b c (Å): 5.8499 7.9100 6.8849
angles (deg): 90.00 90.00 90.00
Space group Pmma (No. 51)
Asymmetric unit:
Ce (0.0000, 0.0000, 0.0000) x2
Dy (0.2500, 0.2989, 0.3136) x4
Ho (0.2500, 0.5000, 0.8398) x2
Er (0.2500, 0.0000, 0.5959) x2

The 10 most intense peaks (2θ from 10° to 90°), in order of rising 2θ:
28.27 deg, intensity 27, hkl 0 1 2
30.20 deg, intensity 100, hkl 1 2 1
30.56 deg, intensity 25, hkl 2 0 0
32.22 deg, intensity 47, hkl 1 1 2
33.28 deg, intensity 15, hkl 2 0 1
35.22 deg, intensity 28, hkl 2 1 1
39.72 deg, intensity 15, hkl 1 3 1
48.32 deg, intensity 24, hkl 2 3 1
54.10 deg, intensity 20, hkl 3 2 1
55.99 deg, intensity 18, hkl 2 2 3